Diffraction record for HfBe5Cu. The X-ray powder pattern is theoretical, not measured: it uses a cell relaxed with GGA-PBE and Cu Kα (weighted mean of Kα1 and Kα2).
Kinematic intensities with the Lorentz-polarization factor, no thermal factor.

a b c (Å): 7.363 4.301 9.109
angles (deg): 90.00 90.00 90.00
Fractional positions:
1 Hf 0.236 0.250 0.061
2 Hf 0.264 0.750 0.561
3 Hf 0.736 0.250 0.439
4 Hf 0.764 0.750 0.939
5 Be 0.043 0.750 0.110
6 Be 0.063 0.004 0.314
7 Be 0.063 0.496 0.314
8 Be 0.073 0.250 0.518
9 Be 0.198 0.250 0.743
10 Be 0.302 0.750 0.243
11 Be 0.427 0.750 0.018
12 Be 0.437 0.504 0.814
13 Be 0.437 0.996 0.814
14 Be 0.457 0.250 0.610
15 Be 0.543 0.750 0.390
16 Be 0.563 0.004 0.186
17 Be 0.563 0.496 0.186
18 Be 0.573 0.250 0.982
19 Be 0.698 0.250 0.757
20 Be 0.802 0.750 0.257
21 Be 0.927 0.750 0.482
22 Be 0.937 0.504 0.686
23 Be 0.937 0.996 0.686
24 Be 0.957 0.250 0.890
25 Cu 0.142 0.750 0.860
26 Cu 0.358 0.250 0.360
27 Cu 0.642 0.750 0.640
28 Cu 0.858 0.250 0.140

Peak list (10 most intense, 2θ = 10–90°, most intense first)
2θ 25.91, 3.439 Å, I 100.0
2θ 22.89, 3.885 Å, I 72.8
2θ 24.17, 3.682 Å, I 58.9
2θ 43.61, 2.076 Å, I 57.9
2θ 36.21, 2.481 Å, I 52.0
2θ 44.02, 2.057 Å, I 50.1
2θ 41.51, 2.176 Å, I 38.4
2θ 19.49, 4.555 Å, I 35.3
2θ 38.29, 2.351 Å, I 32.8
2θ 42.02, 2.150 Å, I 29.1